The following is a calculated X-ray diffraction stick pattern of BaHgPb2Br8. It was derived from a cell relaxed with GGA-PBE, using Cu Kα, 1.54184 Å.
Peak positions follow from Bragg's law for the DFT cell and can differ from measured ones.

Main lines, in order of rising 2θ (2θ from 10° to 90°):
2theta, d (Å), I/Imax
17.38, 5.102, 99.5
17.53, 5.060, 100.0
22.66, 3.925, 65.2
23.55, 3.778, 41.1
27.62, 3.229, 28.7
33.52, 2.673, 39.6
33.75, 2.656, 71.8
34.62, 2.591, 52.5
35.16, 2.552, 64.1
39.32, 2.291, 49.6
41.61, 2.170, 37.1
42.58, 2.123, 39.9

Crystal structure
```
BaHgPb2Br8
1.0
7.097 0.000 0.000
-0.052 7.288 0.000
-0.379 -0.249 9.166
Ba Hg Pb Br
1 1 2 8
Cartesian
0.000 0.000 0.000 Ba
-0.190 -0.125 4.583 Hg
3.363 3.490 2.414 Pb
3.302 3.548 6.752 Pb
1.250 0.828 6.505 Br
1.566 4.621 4.548 Br
1.463 4.415 9.109 Br
1.841 1.027 2.433 Br
4.825 6.012 6.733 Br
5.202 2.624 0.057 Br
5.099 2.418 4.618 Br
5.415 6.211 2.661 Br
```


The following is a calculated X-ray diffraction stick pattern of K5Bi2Au. It was derived from a cell relaxed with GGA-PBE, using Cu Kα, 1.54184 Å.
Peak positions follow from Bragg's law for the DFT cell and can differ from measured ones.

Main lines, in order of rising 2θ (2θ from 10° to 90°):
2theta, d (Å), I/Imax
17.08, 5.190, 97.0
17.86, 4.967, 44.8
26.98, 3.304, 19.0
29.36, 3.042, 100.0
34.15, 2.625, 19.0
34.63, 2.591, 44.8
37.40, 2.405, 24.5
40.30, 2.238, 23.5
45.64, 1.988, 17.6
46.00, 1.973, 22.7
52.06, 1.757, 22.1
55.53, 1.655, 19.0

Crystal structure
```
K5Bi2Au
1.0
3.043 1.757 9.907
-3.043 1.757 9.907
0.000 -3.514 9.907
K Bi Au
5 2 1
Cartesian
0.000 0.000 0.000 K
0.000 0.000 3.927 K
0.000 0.000 8.370 K
0.000 0.000 21.352 K
0.000 0.000 25.795 K
0.000 0.000 12.091 Bi
0.000 0.000 17.631 Bi
0.000 0.000 14.861 Au
```